Structure and computed powder diffraction line list of NdDyC4 (DFT lattice parameters and positions (PBE); Cu Kα X-rays).
Peak positions follow from Bragg's law for the DFT cell and can differ from measured ones.

```
data_NdDyC4
_space_group_name_H-M_alt 'P 1'
_space_group_IT_number 1
_cell_length_a 4.142
_cell_length_b 4.142
_cell_length_c 7.354
_cell_angle_alpha 115.04
_cell_angle_beta 115.04
_cell_angle_gamma 53.74
loop_
_space_group_symop_operation_xyz
'x,y,z'
loop_
_atom_site_label
_atom_site_fract_x
_atom_site_fract_y
_atom_site_fract_z
Nd1 0.000 0.000 0.000
Dy1 0.500 0.500 0.500
C1 0.195 0.195 0.788
C2 0.299 0.299 0.687
C3 0.701 0.701 0.313
C4 0.805 0.805 0.212
```

Peak list (10 most intense, 2θ = 10–90°, sorted by position)
2θ = 27.43°, intensity 51
2θ = 27.56°, intensity 50
2θ = 27.68°, intensity 99
2θ = 28.20°, intensity 66
2θ = 33.70°, intensity 100
2θ = 44.41°, intensity 38
2θ = 44.59°, intensity 38
2θ = 49.60°, intensity 42
2θ = 56.56°, intensity 24
2θ = 56.78°, intensity 29

=====

Structure and computed powder diffraction line list of DyNiC2 (DFT lattice parameters and positions (PBE); Cu Kα X-rays).
Peak positions follow from Bragg's law for the DFT cell and can differ from measured ones.

```
data_DyNiC2
_space_group_name_H-M_alt 'P 1'
_space_group_IT_number 1
_cell_length_a 3.594
_cell_length_b 3.757
_cell_length_c 3.757
_cell_angle_alpha 73.90
_cell_angle_beta 90.00
_cell_angle_gamma 90.00
loop_
_space_group_symop_operation_xyz
'x,y,z'
loop_
_atom_site_label
_atom_site_fract_x
_atom_site_fract_y
_atom_site_fract_z
Dy1 0.000 0.000 0.000
Ni1 0.500 0.389 0.389
C1 0.500 0.548 0.852
C2 0.500 0.852 0.548
```

Peak list (10 most intense, 2θ = 10–90°, sorted by position)
2θ = 24.67°, intensity 32
2θ = 29.76°, intensity 22
2θ = 35.24°, intensity 100
2θ = 39.09°, intensity 24
2θ = 39.92°, intensity 18
2θ = 49.83°, intensity 18
2θ = 50.58°, intensity 14
2θ = 50.81°, intensity 11
2θ = 57.11°, intensity 14
2θ = 69.48°, intensity 13

=====

Structure and computed powder diffraction line list of Dy2CO5 (DFT lattice parameters and positions (PBE); Cu Kα X-rays).
Peak positions follow from Bragg's law for the DFT cell and can differ from measured ones.

```
data_Dy2CO5
_space_group_name_H-M_alt 'P 1'
_space_group_IT_number 1
_cell_length_a 3.888
_cell_length_b 3.888
_cell_length_c 15.248
_cell_angle_alpha 90.00
_cell_angle_beta 90.00
_cell_angle_gamma 120.84
loop_
_space_group_symop_operation_xyz
'x,y,z'
loop_
_atom_site_label
_atom_site_fract_x
_atom_site_fract_y
_atom_site_fract_z
Dy1 0.165 0.835 0.593
Dy2 0.165 0.835 0.907
Dy3 0.835 0.165 0.093
Dy4 0.835 0.165 0.407
C1 0.414 0.586 0.750
C2 0.586 0.414 0.250
O1 0.167 0.833 0.057
O2 0.167 0.833 0.443
O3 0.225 0.775 0.750
O4 0.496 0.504 0.174
O5 0.496 0.504 0.326
O6 0.504 0.496 0.674
O7 0.504 0.496 0.826
O8 0.775 0.225 0.250
O9 0.833 0.167 0.557
O10 0.833 0.167 0.943
```

Peak list (10 most intense, 2θ = 10–90°, sorted by position)
2θ = 11.61°, intensity 54
2θ = 23.34°, intensity 45
2θ = 27.01°, intensity 31
2θ = 27.35°, intensity 82
2θ = 31.79°, intensity 67
2θ = 32.08°, intensity 100
2θ = 35.32°, intensity 38
2θ = 46.73°, intensity 53
2θ = 50.00°, intensity 39
2θ = 59.91°, intensity 32

=====

Structure and computed powder diffraction line list of DyCO4 (DFT lattice parameters and positions (PBE); Cu Kα X-rays).
Peak positions follow from Bragg's law for the DFT cell and can differ from measured ones.

```
data_DyCO4
_space_group_name_H-M_alt 'P 1'
_space_group_IT_number 1
_cell_length_a 4.880
_cell_length_b 7.135
_cell_length_c 8.742
_cell_angle_alpha 90.00
_cell_angle_beta 90.00
_cell_angle_gamma 90.00
loop_
_space_group_symop_operation_xyz
'x,y,z'
loop_
_atom_site_label
_atom_site_fract_x
_atom_site_fract_y
_atom_site_fract_z
Dy1 0.026 0.121 0.160
Dy2 0.474 0.879 0.660
Dy3 0.526 0.379 0.840
Dy4 0.974 0.621 0.340
C1 0.007 0.048 0.826
C2 0.493 0.952 0.326
C3 0.507 0.452 0.174
C4 0.993 0.548 0.674
O1 0.032 0.808 0.141
O2 0.040 0.450 0.792
O3 0.183 0.617 0.587
O4 0.238 0.924 0.368
O5 0.262 0.076 0.868
O6 0.317 0.383 0.087
O7 0.460 0.550 0.292
O8 0.468 0.192 0.641
O9 0.532 0.692 0.859
O10 0.540 0.050 0.208
O11 0.683 0.883 0.413
O12 0.738 0.576 0.632
O13 0.762 0.424 0.132
O14 0.817 0.117 0.913
O15 0.960 0.950 0.708
O16 0.968 0.308 0.359
```

Peak list (10 most intense, 2θ = 10–90°, sorted by position)
2θ = 16.03°, intensity 64
2θ = 20.85°, intensity 100
2θ = 23.87°, intensity 36
2θ = 24.33°, intensity 52
2θ = 26.99°, intensity 48
2θ = 30.17°, intensity 34
2θ = 31.05°, intensity 61
2θ = 38.12°, intensity 44
2θ = 46.26°, intensity 35
2θ = 55.87°, intensity 34

=====

Structure and computed powder diffraction line list of Dy2CO5 (DFT lattice parameters and positions (PBE); Cu Kα X-rays).
Peak positions follow from Bragg's law for the DFT cell and can differ from measured ones.

```
data_Dy2CO5
_space_group_name_H-M_alt 'P 1'
_space_group_IT_number 1
_cell_length_a 15.232
_cell_length_b 3.864
_cell_length_c 3.864
_cell_angle_alpha 119.43
_cell_angle_beta 90.00
_cell_angle_gamma 90.00
loop_
_space_group_symop_operation_xyz
'x,y,z'
loop_
_atom_site_label
_atom_site_fract_x
_atom_site_fract_y
_atom_site_fract_z
Dy1 0.093 0.168 0.832
Dy2 0.407 0.168 0.832
Dy3 0.593 0.832 0.168
Dy4 0.907 0.832 0.168
C1 0.250 0.418 0.333
C2 0.750 0.333 0.418
O1 0.057 0.835 0.167
O2 0.174 0.508 0.513
O3 0.250 0.227 0.953
O4 0.326 0.508 0.513
O5 0.443 0.835 0.167
O6 0.557 0.167 0.835
O7 0.674 0.513 0.508
O8 0.750 0.953 0.227
O9 0.826 0.513 0.508
O10 0.943 0.167 0.835
```

Peak list (10 most intense, 2θ = 10–90°, sorted by position)
2θ = 11.62°, intensity 46
2θ = 23.36°, intensity 38
2θ = 27.13°, intensity 62
2θ = 27.36°, intensity 35
2θ = 31.90°, intensity 100
2θ = 32.10°, intensity 42
2θ = 35.36°, intensity 33
2θ = 47.03°, intensity 47
2θ = 49.91°, intensity 31
2θ = 60.18°, intensity 29